(1)
Calculated powder X-ray diffraction pattern
Compound: NaH4Ir
Radiation: Cu Kα
Structure: DFT lattice parameters and positions (GGA-PBE)

```
NaH4Ir
1.0
5.293 0.000 0.000
0.000 4.366 0.000
-0.274 0.000 4.425
Na H Ir
2 8 2
direct
0.000 0.000 0.000
0.000 0.500 0.500
0.186 0.045 0.475
0.186 0.455 0.975
0.390 0.671 0.318
0.390 0.829 0.818
0.610 0.171 0.182
0.610 0.329 0.682
0.814 0.545 0.025
0.814 0.955 0.525
0.500 0.000 0.500
0.500 0.500 0.000
```

Principal peaks in the range 10 to 80 degrees two-theta, in order of rising 2θ:
2θ/deg, I/Imax
16.8, 100
28.7, 57
32.8, 65
33.9, 30
34.1, 59
40.8, 18
41.4, 18
44.0, 17
44.9, 16
54.5, 16



(2)
Calculated powder X-ray diffraction pattern
Compound: LiSbPHO5
Radiation: Cu Kα
Structure: DFT lattice parameters and positions (GGA-PBE)

```
LiSbPHO5
1.0
5.308 0.000 0.000
-0.843 5.780 0.000
-2.349 -2.486 7.207
Li Sb P H O
2 2 2 2 10
direct
0.237 0.403 0.335
0.763 0.597 0.665
0.500 0.000 0.000
0.500 0.000 0.500
0.177 0.372 0.723
0.823 0.628 0.277
0.113 0.956 0.177
0.887 0.044 0.823
0.110 0.722 0.432
0.182 0.636 0.835
0.212 0.201 0.843
0.297 0.070 0.224
0.397 0.374 0.628
0.603 0.626 0.372
0.703 0.930 0.776
0.788 0.799 0.157
0.818 0.364 0.165
0.890 0.278 0.568
```

Principal peaks in the range 10 to 80 degrees two-theta, in order of rising 2θ:
2θ/deg, I/Imax
16.2, 73
18.0, 80
21.2, 48
24.8, 100
25.0, 76
27.2, 70
32.0, 37
33.5, 62
36.3, 34
40.3, 22



(3)
Calculated powder X-ray diffraction pattern
Compound: Th2ZnNi9
Radiation: Cu Kα
Structure: DFT lattice parameters and positions (GGA-PBE)

```
Th2ZnNi9
1.0
2.468 1.425 8.238
-2.468 1.425 8.238
0.000 -2.850 8.238
Th Zn Ni
2 1 9
direct
0.132 0.132 0.132
0.868 0.868 0.868
0.000 0.000 0.000
0.080 0.581 0.581
0.333 0.333 0.333
0.419 0.419 0.920
0.419 0.920 0.419
0.500 0.500 0.500
0.581 0.080 0.581
0.581 0.581 0.080
0.667 0.667 0.667
0.920 0.419 0.419
```

Principal peaks in the range 10 to 80 degrees two-theta, in order of rising 2θ:
2θ/deg, I/Imax
10.7, 61
25.3, 69
32.9, 80
35.9, 100
36.4, 100
42.4, 66
42.7, 97
44.9, 48
45.6, 53
46.3, 57



(4)
Calculated powder X-ray diffraction pattern
Compound: TaBeCl
Radiation: Cu Kα
Structure: DFT lattice parameters and positions (GGA-PBE)

```
TaBeCl
1.0
3.406 0.000 0.000
0.000 3.406 0.000
0.000 0.000 19.386
Ta Be Cl
4 4 4
direct
0.000 0.000 0.213
0.000 0.000 0.787
0.500 0.500 0.287
0.500 0.500 0.713
0.000 0.000 0.340
0.000 0.000 0.660
0.500 0.500 0.160
0.500 0.500 0.840
0.000 0.500 0.093
0.000 0.500 0.407
0.500 0.000 0.593
0.500 0.000 0.907
```

Principal peaks in the range 10 to 80 degrees two-theta, in order of rising 2θ:
2θ/deg, I/Imax
29.7, 77
35.1, 100
37.3, 36
38.5, 91
41.9, 37
42.1, 79
50.1, 37
53.8, 27
65.9, 33
70.6, 34



(5)
Calculated powder X-ray diffraction pattern
Compound: Ta2BeTc
Radiation: Cu Kα
Structure: DFT lattice parameters and positions (GGA-PBE)

```
Ta2BeTc
1.0
3.192 0.000 0.000
0.000 3.192 0.000
0.000 0.000 5.936
Ta Be Tc
2 1 1
direct
0.000 0.000 0.000
0.500 0.500 0.301
0.500 0.500 0.757
0.000 0.000 0.570
```

Principal peaks in the range 10 to 80 degrees two-theta, in order of rising 2θ:
2θ/deg, I/Imax
14.9, 24
31.8, 69
39.9, 64
41.5, 100
45.9, 13
57.8, 22
62.4, 21
67.5, 16
73.6, 37
76.7, 11



(6)
Calculated powder X-ray diffraction pattern
Compound: PrDyMg4
Radiation: Cu Kα
Structure: DFT lattice parameters and positions (GGA-PBE)

```
PrDyMg4
1.0
13.937 0.000 0.000
0.000 3.458 0.000
-1.687 0.000 6.655
Pr Dy Mg
2 2 8
direct
0.000 0.000 0.000
0.500 0.500 0.000
0.000 0.000 0.500
0.500 0.500 0.500
0.175 0.500 0.343
0.178 0.500 0.834
0.322 0.000 0.166
0.325 0.000 0.657
0.675 0.000 0.343
0.678 0.000 0.834
0.822 0.500 0.166
0.825 0.500 0.657
```

Principal peaks in the range 10 to 80 degrees two-theta, in order of rising 2θ:
2θ/deg, I/Imax
13.1, 100
26.4, 27
26.6, 45
26.8, 45
32.6, 67
32.8, 66
36.9, 48
39.3, 29
45.9, 24
55.6, 28